Record 1
Rb4NbGeTe6: calculated powder diffractogram (λ = 1.5418 Å (Cu Kα)), based on DFT lattice parameters and positions (GGA-PBE).
Kinematic intensities with the Lorentz-polarization factor, no thermal factor.

Atomic structure:
```
Rb4NbGeTe6
1.0
7.6248 0.0000 0.0000
3.0785 7.5286 0.0000
2.9258 1.7890 9.3469
Rb Nb Ge Te
4 1 1 6
Cartesian
0.0000 0.0000 0.0000
3.4095 2.9413 2.0972
6.5430 3.1181 5.4115
9.9597 5.9829 7.3524
6.8722 6.0318 2.0317
6.1422 7.5545 5.4563
2.7074 2.5952 5.7287
4.6257 6.4623 3.4192
6.1123 6.0699 7.5930
9.8362 9.2618 9.1904
8.3928 7.0890 3.9844
7.2713 3.4634 1.6671
```

Principal peaks in the range 2θ from 10° to 90°, most intense first:
two_theta  I_rel
24.16  100
24.37  97
23.51  57
28.93  49
34.39  45
24.71  42
39.53  33
14.26  30
35.89  26
28.72  25
33.21  21
29.21  20

Record 2
Al10Re3: calculated powder diffractogram (λ = 1.5418 Å (Cu Kα)), based on DFT lattice parameters and positions (GGA-PBE).
Kinematic intensities with the Lorentz-polarization factor, no thermal factor.

Atomic structure:
```
Al10Re3
1.0
2.5626 1.4795 8.7420
-2.5626 1.4795 8.7420
0.0000 -2.9591 8.7420
Al Re
10 3
Cartesian
0.0000 0.0000 1.2027
-1.2665 -0.7312 10.9647
0.0000 0.0000 3.9720
0.0000 -1.4625 15.2614
-1.2665 0.7312 15.2614
1.2665 -0.7312 10.9647
0.0000 1.4625 10.9647
0.0000 0.0000 22.2541
1.2665 0.7312 15.2614
0.0000 0.0000 25.0234
0.0000 0.0000 8.7089
0.0000 0.0000 13.1130
0.0000 0.0000 17.5171
```

Principal peaks in the range 2θ from 10° to 90°, most intense first:
two_theta  I_rel
20.30  100
40.82  86
35.01  57
26.30  33
43.07  25
10.12  24
44.32  21
74.98  20
66.75  20
55.24  19
41.31  16
31.24  16

Record 3
Ta3As: calculated powder diffractogram (λ = 1.5418 Å (Cu Kα)), based on DFT lattice parameters and positions (GGA-PBE).
Kinematic intensities with the Lorentz-polarization factor, no thermal factor.

Atomic structure:
```
Ta3As
1.0
7.3978 -2.5709 0.0000
7.3978 2.5709 0.0000
-0.1631 0.0000 14.6485
Ta As
24 8
Cartesian
3.7013 1.2497 10.2852
3.7278 1.1748 1.3317
0.9912 0.0597 9.9213
1.0728 -0.0597 2.5970
4.9691 1.2665 7.2589
6.5200 1.2888 14.5601
8.0309 1.2888 7.4126
9.7450 1.2665 0.0653
6.3815 0.0048 2.4998
6.2999 -0.0048 9.8240
3.6462 -1.1748 8.6560
10.8496 1.2497 11.6876
3.7829 -1.2497 2.9609
10.9863 1.1748 5.9925
8.3326 0.0048 4.8245
8.2511 -0.0048 12.1488
4.8875 -1.2665 14.5832
6.6016 -1.2888 7.2359
8.1125 -1.2888 0.0884
9.6634 -1.2665 7.3896
13.5598 0.0597 12.0515
13.6413 -0.0597 4.7272
10.9047 -1.1748 13.3168
10.9312 -1.2497 4.3633
1.3430 0.0063 12.5866
1.4245 -0.0063 5.2623
5.5770 0.0745 12.3634
5.6586 -0.0745 5.0391
8.9740 0.0745 9.6094
9.0555 -0.0745 2.2851
13.2080 0.0063 9.3862
13.2896 -0.0063 2.0619
```

Principal peaks in the range 2θ from 10° to 90°, most intense first:
two_theta  I_rel
37.04  100
35.60  39
35.73  37
38.69  36
36.81  35
39.53  35
42.84  32
36.44  32
40.02  31
42.98  30
35.85  30
35.48  28

Record 4
Ag: calculated powder diffractogram (λ = 1.5418 Å (Cu Kα)), based on DFT lattice parameters and positions (GGA-PBE).
Kinematic intensities with the Lorentz-polarization factor, no thermal factor.

Atomic structure:
```
Ag
1.0
2.8583 0.0000 0.0000
0.0000 2.8583 0.0000
0.0000 0.0000 43.6173
Ag
16
Cartesian
0.7146 0.7146 1.0786
0.7146 0.7146 5.3911
0.7146 0.7146 9.6844
0.7146 0.7146 14.0037
0.7146 0.7146 27.4884
0.7146 0.7146 31.7715
0.7146 0.7146 36.0811
0.7146 0.7146 40.3802
2.1438 2.1438 3.2371
2.1438 2.1438 7.5362
2.1438 2.1438 11.8459
2.1438 2.1438 16.1289
2.1438 2.1438 29.6136
2.1438 2.1438 33.9329
2.1438 2.1438 38.2263
2.1438 2.1438 42.5387
```

Principal peaks in the range 2θ from 10° to 90°, most intense first:
two_theta  I_rel
37.62  100
44.85  35
77.87  22
62.67  19
41.40  17
38.84  14
65.29  11
73.01  10
80.32  9
64.31  6
75.28  5
43.58  5

Record 5
Si4Ag10O13: calculated powder diffractogram (λ = 1.5418 Å (Cu Kα)), based on DFT lattice parameters and positions (GGA-PBE).
Kinematic intensities with the Lorentz-polarization factor, no thermal factor.

Atomic structure:
```
Si4Ag10O13
1.0
8.0213 0.0000 0.0000
-1.7795 9.0129 0.0000
-1.6301 -4.7775 10.2059
Si Ag O
8 20 26
Cartesian
-0.8486 3.2512 2.5380
0.4755 -2.9042 7.7763
0.2962 0.1684 7.7039
2.9498 -0.8758 2.5542
1.6619 5.1112 7.6517
4.3155 4.0670 2.5020
4.1362 7.1396 2.4296
5.4603 0.9842 7.6679
0.0714 0.3996 1.7062
-0.8761 6.2044 0.9141
-0.1398 -0.0380 4.6233
-0.6312 2.9557 5.7812
-0.8742 6.2366 4.4150
-0.6672 3.0273 9.5288
2.1183 2.1354 0.7711
1.6066 4.9533 0.8952
1.7111 1.9570 3.6958
1.8204 5.3262 4.3792
2.7913 -1.0908 5.8267
2.9006 2.2784 6.5100
3.0051 -0.7179 9.3107
2.4935 2.1000 9.4348
5.2789 1.2081 0.6770
5.4859 -2.0012 5.7908
5.2429 1.2797 4.4247
4.7515 4.2734 5.5825
5.4878 -1.9690 9.2918
4.5403 3.8358 8.4997
-1.8575 2.4764 7.5644
-1.3297 -0.1544 7.5573
-1.9597 5.8992 6.2973
-0.0847 3.4485 1.1095
-0.5558 -3.2106 8.9842
0.1679 3.5391 3.7983
2.2375 -0.2122 1.2302
0.6006 6.5973 2.7718
0.8877 0.8698 6.3639
1.0259 -1.3261 7.8797
0.5806 1.0242 9.0582
0.0363 5.1765 7.9924
2.7686 0.0680 3.8768
1.8432 4.1674 6.3291
4.5754 -0.9411 2.2134
4.0312 3.2112 1.1477
3.5858 5.5615 2.3262
3.7240 3.3656 3.8420
4.0111 -2.3619 7.4341
2.3742 4.4476 8.9757
4.4438 0.6963 6.4076
5.1676 7.4460 1.2216
4.6965 0.7869 9.0964
6.5714 -1.6638 3.9085
5.9414 4.3898 2.6485
6.4692 1.7590 2.6415
```

Principal peaks in the range 2θ from 10° to 90°, most intense first:
two_theta  I_rel
33.85  100
32.17  75
34.20  71
33.95  69
33.43  46
35.80  37
45.74  32
17.38  27
31.24  24
38.75  23
49.02  22
29.89  20

Record 6
Cs2PdBr2F2: calculated powder diffractogram (λ = 1.5418 Å (Cu Kα)), based on DFT lattice parameters and positions (GGA-PBE).
Kinematic intensities with the Lorentz-polarization factor, no thermal factor.

Atomic structure:
```
Cs2PdBr2F2
1.0
4.1321 -5.6590 0.0000
4.1321 5.6590 0.0000
0.0000 0.0000 4.2283
Cs Pd Br F
2 1 2 2
Cartesian
2.0660 2.8295 0.0000
2.0660 -2.8295 0.0000
0.0000 0.0000 2.1142
2.4573 0.0000 2.1142
5.8068 0.0000 2.1142
4.1321 3.6430 2.1142
4.1321 -3.6430 2.1142
```

Principal peaks in the range 2θ from 10° to 90°, most intense first:
two_theta  I_rel
26.31  100
34.23  38
31.62  33
30.24  20
51.83  19
21.51  19
53.17  17
42.77  17
39.86  16
26.71  16
54.15  14
33.48  13

Record 7
KHfAuS3: calculated powder diffractogram (λ = 1.5418 Å (Cu Kα)), based on DFT lattice parameters and positions (GGA-PBE).
Kinematic intensities with the Lorentz-polarization factor, no thermal factor.

Atomic structure:
```
KHfAuS3
1.0
8.0430 0.0000 0.0000
0.0000 3.8043 0.0000
-3.4111 0.0000 9.1711
K Hf Au S
2 2 2 6
Cartesian
1.2665 0.9511 1.9500
3.3654 2.8533 7.2212
-0.7600 2.8533 6.0502
5.3919 0.9511 3.1209
0.3254 0.9511 8.1442
4.3065 2.8533 1.0270
-0.8924 2.8533 3.4333
-1.4111 2.8533 8.5007
0.9930 0.9511 5.7941
3.6389 2.8533 3.3771
6.0430 0.9511 0.6704
5.5243 0.9511 5.7378
```

Principal peaks in the range 2θ from 10° to 90°, most intense first:
two_theta  I_rel
12.33  100
33.47  21
29.44  20
36.32  19
45.23  16
24.80  16
30.53  12
35.31  11
37.24  9
41.28  8
47.82  8
32.43  7